Record 1
Pm3Nd2Er2: computed powder diffractogram (Cu Kα), based on a cell relaxed with PBE.
Intensities are scaled so that the largest is 100.

Cell and atoms:
```
data_Pm3Nd2Er2
_chemical_formula_sum 'Pm3 Nd2 Er2'
_cell_length_a 3.6221
_cell_length_b 8.0732
_cell_length_c 8.8662
_cell_angle_alpha 68.60
_cell_angle_beta 89.97
_cell_angle_gamma 77.11
_space_group_name_H-M_alt 'P -1'
_space_group_IT_number 2
_space_group_name_Hall '-P 1'
loop_
_atom_site_label
_atom_site_type_symbol
_atom_site_fract_x
_atom_site_fract_y
_atom_site_fract_z
Pm1 Pm 0.0000 0.0000 0.0000
Pm2 Pm 0.1404 0.7185 0.4286
Nd1 Nd 0.2850 0.4309 0.8553
Er1 Er 0.4291 0.1411 0.2868
```

Principal peaks in the range 5 to 70 degrees two-theta, by angle:
(hkl)  2theta  intensity
1 2 1  30.26  100
1 0 2  35.02  17
0 3 2  35.11  34
2 1 0  50.43  30
1 4 0  50.54  6
2 2 3  59.90  22
0 4 5  60.02  18
2 4 2  62.91  9


Record 2
Pm6Nd4Er: computed powder diffractogram (Cu Kα), based on a cell relaxed with PBE.
Intensities are scaled so that the largest is 100.

Cell and atoms:
```
data_Pm6Nd4Er
_chemical_formula_sum 'Pm6 Nd4 Er1'
_cell_length_a 11.0883
_cell_length_b 11.0883
_cell_length_c 3.6218
_cell_angle_alpha 90.00
_cell_angle_beta 90.00
_cell_angle_gamma 120.00
_space_group_name_H-M_alt 'P -6 m 2'
_space_group_IT_number 187
_space_group_name_Hall 'P -6 2'
loop_
_atom_site_label
_atom_site_type_symbol
_atom_site_fract_x
_atom_site_fract_y
_atom_site_fract_z
Pm1 Pm 0.1832 0.3664 0.0000
Pm2 Pm 0.5293 0.0586 0.5000
Nd1 Nd 0.3147 0.1573 0.0000
Nd2 Nd 0.3333 0.6667 0.5000
Er1 Er 0.0000 0.0000 0.5000
```

Principal peaks in the range 5 to 70 degrees two-theta, by angle:
(hkl)  2theta  intensity
3 0 0  27.87  27
1 1 1  29.46  30
2 0 1  30.93  96
2 2 0  32.29  100
2 1 1  35.00  36
4 0 1  45.32  21
4 1 1  50.30  17
2 2 2  61.13  32


Record 3
Pm4Nd8Er3: computed powder diffractogram (Cu Kα), based on a cell relaxed with PBE.
Intensities are scaled so that the largest is 100.

Cell and atoms:
```
data_Pm4Nd8Er3
_chemical_formula_sum 'Pm12 Nd24 Er9'
_cell_length_a 7.0646
_cell_length_b 7.0646
_cell_length_c 36.1107
_cell_angle_alpha 90.00
_cell_angle_beta 90.00
_cell_angle_gamma 120.00
_space_group_name_H-M_alt 'R -3 m'
_space_group_IT_number 166
_space_group_name_Hall '-R 3 2"'
loop_
_atom_site_label
_atom_site_type_symbol
_atom_site_fract_x
_atom_site_fract_y
_atom_site_fract_z
Pm1 Pm 0.0000 0.0000 0.0000
Pm2 Pm 0.0000 0.0000 0.1640
Pm3 Pm 0.0000 0.0000 0.5000
Nd1 Nd 0.0000 0.0000 0.2546
Nd2 Nd 0.0017 0.5009 0.2513
Er1 Er 0.0000 0.5000 0.0000
```

Principal peaks in the range 5 to 70 degrees two-theta, by angle:
(hkl)  2theta  intensity
1 1 3  26.29  18
0 2 1  29.31  27
0 0 12  29.68  66
0 2 4  30.86  100
2 0 8  35.45  73
0 2 16  50.23  28
2 2 0  51.76  37
2 2 12  60.81  46


Record 4
Pm7Nd4Er: computed powder diffractogram (Cu Kα), based on a cell relaxed with PBE.
Intensities are scaled so that the largest is 100.

Cell and atoms:
```
data_Pm7Nd4Er
_chemical_formula_sum 'Pm7 Nd4 Er1'
_cell_length_a 6.3568
_cell_length_b 7.3496
_cell_length_c 9.1019
_cell_angle_alpha 90.05
_cell_angle_beta 103.51
_cell_angle_gamma 90.01
_space_group_name_H-M_alt 'P -1'
_space_group_IT_number 2
_space_group_name_Hall '-P 1'
loop_
_atom_site_label
_atom_site_type_symbol
_atom_site_fract_x
_atom_site_fract_y
_atom_site_fract_z
Pm1 Pm 0.0000 0.0000 0.0000
Pm2 Pm 0.2213 0.5002 0.6681
Pm3 Pm 0.2771 0.2516 0.3297
Pm4 Pm 0.4998 0.2516 0.0003
Nd1 Nd 0.2243 0.9998 0.6678
Nd2 Nd 0.2773 0.7483 0.3299
Er1 Er 0.0000 0.5000 0.0000
```

Principal peaks in the range 5 to 70 degrees two-theta, by angle:
(hkl)  2theta  intensity
1 2 0  28.26  36
0 0 3  30.30  49
2 0 -2  31.18  100
1 2 -2  32.80  28
2 0 1  32.84  56
0 4 0  49.65  37
2 0 4  56.50  17
0 4 3  59.27  37


Record 5
Pm3Nd2Er8: computed powder diffractogram (Cu Kα), based on a cell relaxed with PBE.
Intensities are scaled so that the largest is 100.

Cell and atoms:
```
data_Pm3Nd2Er8
_chemical_formula_sum 'Pm6 Nd4 Er16'
_cell_length_a 14.6608
_cell_length_b 9.1674
_cell_length_c 6.9220
_cell_angle_alpha 90.00
_cell_angle_beta 108.67
_cell_angle_gamma 90.00
_space_group_name_H-M_alt 'C 1 2/m 1'
_space_group_IT_number 12
_space_group_name_Hall '-C 2y'
loop_
_atom_site_label
_atom_site_type_symbol
_atom_site_fract_x
_atom_site_fract_y
_atom_site_fract_z
Pm1 Pm 0.0000 0.0000 0.0000
Pm2 Pm 0.0000 0.1765 0.5000
Nd1 Nd 0.2206 0.0000 0.4206
Er1 Er 0.0797 0.5000 0.7336
Er2 Er 0.1183 0.3190 0.1724
Er3 Er 0.1927 0.0000 0.8955
```

Principal peaks in the range 5 to 70 degrees two-theta, by angle:
(hkl)  2theta  intensity
2 2 1  29.02  66
4 0 -2  30.94  71
1 1 2  31.52  100
1 3 -1  32.08  66
2 2 -2  32.69  42
5 1 0  33.72  71
3 3 0  35.19  35
5 5 0  60.48  34


Record 6
Pm5NdEr5: computed powder diffractogram (Cu Kα), based on a cell relaxed with PBE.
Intensities are scaled so that the largest is 100.

Cell and atoms:
```
data_Pm5NdEr5
_chemical_formula_sum 'Pm5 Nd1 Er5'
_cell_length_a 6.0941
_cell_length_b 6.0941
_cell_length_c 11.8045
_cell_angle_alpha 90.00
_cell_angle_beta 90.00
_cell_angle_gamma 120.00
_space_group_name_H-M_alt 'P -6 m 2'
_space_group_IT_number 187
_space_group_name_Hall 'P -6 2'
loop_
_atom_site_label
_atom_site_type_symbol
_atom_site_fract_x
_atom_site_fract_y
_atom_site_fract_z
Pm1 Pm 0.0000 0.0000 0.0000
Pm2 Pm 0.3333 0.6667 0.3195
Pm3 Pm 0.6667 0.3333 0.1550
Nd1 Nd 0.3333 0.6667 0.0000
Er1 Er 0.0000 0.0000 0.2663
Er2 Er 0.3329 0.1665 0.5000
```

Principal peaks in the range 5 to 70 degrees two-theta, by angle:
(hkl)  2theta  intensity
1 0 3  28.29  100
1 1 0  29.31  84
0 0 4  30.29  47
2 0 1  34.83  73
2 0 2  37.33  54
0 0 6  46.14  33
2 1 3  51.35  39
3 0 0  51.98  29


Record 7
Pm4Nd4Er: computed powder diffractogram (Cu Kα), based on a cell relaxed with PBE.
Intensities are scaled so that the largest is 100.

Cell and atoms:
```
data_Pm4Nd4Er
_chemical_formula_sum 'Pm4 Nd4 Er1'
_cell_length_a 5.1663
_cell_length_b 8.1495
_cell_length_c 8.1571
_cell_angle_alpha 107.57
_cell_angle_beta 108.38
_cell_angle_gamma 90.04
_space_group_name_H-M_alt 'P -1'
_space_group_IT_number 2
_space_group_name_Hall '-P 1'
loop_
_atom_site_label
_atom_site_type_symbol
_atom_site_fract_x
_atom_site_fract_y
_atom_site_fract_z
Pm1 Pm 0.0552 0.3332 0.1105
Pm2 Pm 0.3895 0.3317 0.7790
Nd1 Nd 0.1654 0.0002 0.3309
Nd2 Nd 0.2784 0.6671 0.5570
Er1 Er 0.5000 0.0000 0.0000
```

Principal peaks in the range 5 to 70 degrees two-theta, by angle:
(hkl)  2theta  intensity
1 1 1  30.00  100
2 0 -1  34.75  34
0 3 0  34.84  17
2 3 -1  49.99  30
3 1 0  59.36  22
1 0 4  59.45  14
1 4 1  59.53  7
2 2 2  62.32  9


Record 8
Pm3Nd3Er2: computed powder diffractogram (Cu Kα), based on a cell relaxed with PBE.
Intensities are scaled so that the largest is 100.

Cell and atoms:
```
data_Pm3Nd3Er2
_chemical_formula_sum 'Pm6 Nd6 Er4'
_cell_length_a 5.8359
_cell_length_b 14.7104
_cell_length_c 6.3508
_cell_angle_alpha 90.00
_cell_angle_beta 90.00
_cell_angle_gamma 90.00
_space_group_name_H-M_alt 'P m m n'
_space_group_IT_number 59
loop_
_space_group_symop_operation_xyz
'x,y,z'
'-x,-y,-z'
'-x+1/2,-y+1/2,z'
'x+1/2,y+1/2,-z'
'x+1/2,-y,-z'
'-x+1/2,y,z'
'-x,y+1/2,-z'
'x,-y+1/2,z'
loop_
_atom_site_label
_atom_site_type_symbol
_atom_site_fract_x
_atom_site_fract_y
_atom_site_fract_z
Pm1 Pm 0.2500 0.1245 0.1678
Pm2 Pm 0.2500 0.7500 0.6609
Nd1 Nd 0.2500 0.0003 0.6677
Nd2 Nd 0.2500 0.2500 0.6737
Er1 Er 0.2500 0.6260 0.1630
```

Principal peaks in the range 5 to 70 degrees two-theta, by angle:
(hkl)  2theta  intensity
0 4 1  28.06  24
2 0 0  30.64  25
1 0 2  32.05  100
2 4 1  42.02  16
0 4 3  49.69  13
3 0 2  55.36  21
2 4 3  59.52  15
1 8 2  60.29  11


Record 9
Pm3Nd2Er6: computed powder diffractogram (Cu Kα), based on a cell relaxed with PBE.
Intensities are scaled so that the largest is 100.

Cell and atoms:
```
data_Pm3Nd2Er6
_chemical_formula_sum 'Pm6 Nd4 Er12'
_cell_length_a 4.7578
_cell_length_b 4.7578
_cell_length_c 33.1502
_cell_angle_alpha 90.00
_cell_angle_beta 90.00
_cell_angle_gamma 90.00
_space_group_name_H-M_alt 'I 4/m m m'
_space_group_IT_number 139
_space_group_name_Hall '-I 4 2'
loop_
_atom_site_label
_atom_site_type_symbol
_atom_site_fract_x
_atom_site_fract_y
_atom_site_fract_z
Pm1 Pm 0.0000 0.0000 0.0000
Pm2 Pm 0.0000 0.0000 0.2038
Nd1 Nd 0.0000 0.0000 0.4536
Er1 Er 0.0000 0.0000 0.3073
Er2 Er 0.0000 0.5000 0.1212
```

Principal peaks in the range 5 to 70 degrees two-theta, by angle:
(hkl)  2theta  intensity
1 1 4  28.64  100
1 0 9  30.70  24
1 1 8  34.33  80
2 0 0  37.82  61
2 0 12  50.64  25
2 2 0  54.55  21
3 1 4  62.77  22
3 1 8  66.07  24


Record 10
Pm3NdEr7: computed powder diffractogram (Cu Kα), based on a cell relaxed with PBE.
Intensities are scaled so that the largest is 100.

Cell and atoms:
```
data_Pm3NdEr7
_chemical_formula_sum 'Pm6 Nd2 Er14'
_cell_length_a 5.8159
_cell_length_b 11.1523
_cell_length_c 11.2053
_cell_angle_alpha 90.00
_cell_angle_beta 90.00
_cell_angle_gamma 90.00
_space_group_name_H-M_alt 'I m m m'
_space_group_IT_number 71
_space_group_name_Hall '-I 2 2'
loop_
_atom_site_label
_atom_site_type_symbol
_atom_site_fract_x
_atom_site_fract_y
_atom_site_fract_z
Pm1 Pm 0.0000 0.0000 0.0000
Pm2 Pm 0.0000 0.5000 0.2891
Nd1 Nd 0.0000 0.0000 0.5000
Er1 Er 0.0000 0.2106 0.1931
Er2 Er 0.0000 0.2953 0.5000
Er3 Er 0.0000 0.5000 0.0000
```

Principal peaks in the range 5 to 70 degrees two-theta, by angle:
(hkl)  2theta  intensity
0 3 1  25.20  18
1 0 3  28.43  14
2 0 0  30.75  39
0 0 4  31.95  13
0 4 0  32.10  18
1 2 3  32.73  100
2 4 0  45.05  14
3 2 3  55.94  22


Record 11
Pm2Nd3Er7: computed powder diffractogram (Cu Kα), based on a cell relaxed with PBE.
Intensities are scaled so that the largest is 100.

Cell and atoms:
```
data_Pm2Nd3Er7
_chemical_formula_sum 'Pm2 Nd3 Er7'
_cell_length_a 5.8236
_cell_length_b 3.5774
_cell_length_c 18.8393
_cell_angle_alpha 90.00
_cell_angle_beta 93.18
_cell_angle_gamma 90.00
_space_group_name_H-M_alt 'P 1 2/m 1'
_space_group_IT_number 10
_space_group_name_Hall '-P 2y'
loop_
_atom_site_label
_atom_site_type_symbol
_atom_site_fract_x
_atom_site_fract_y
_atom_site_fract_z
Pm1 Pm 0.2100 0.0000 0.2916
Nd1 Nd 0.0000 0.0000 0.0000
Nd2 Nd 0.2771 0.5000 0.6315
Er1 Er 0.1903 0.5000 0.1421
Er2 Er 0.2424 0.0000 0.4615
Er3 Er 0.3077 0.0000 0.8282
Er4 Er 0.5000 0.5000 0.0000
```

Principal peaks in the range 5 to 70 degrees two-theta, by angle:
(hkl)  2theta  intensity
1 1 -2  30.58  30
2 0 -1  30.86  33
1 1 2  31.12  100
0 1 4  31.42  27
1 0 -6  31.67  45
1 0 6  33.22  33
1 1 -4  34.61  30
3 1 1  54.25  30


Record 12
Pm4Nd2Er3: computed powder diffractogram (Cu Kα), based on a cell relaxed with PBE.
Intensities are scaled so that the largest is 100.

Cell and atoms:
```
data_Pm4Nd2Er3
_chemical_formula_sum 'Pm4 Nd2 Er3'
_cell_length_a 3.6241
_cell_length_b 3.6241
_cell_length_c 26.8185
_cell_angle_alpha 90.00
_cell_angle_beta 90.00
_cell_angle_gamma 120.00
_space_group_name_H-M_alt 'P 3 m 1'
_space_group_IT_number 156
_space_group_name_Hall 'P 3 -2"'
loop_
_atom_site_label
_atom_site_type_symbol
_atom_site_fract_x
_atom_site_fract_y
_atom_site_fract_z
Pm1 Pm 0.0000 0.0000 0.0000
Pm2 Pm 0.0000 0.0000 0.2120
Pm3 Pm 0.3333 0.6667 0.3247
Pm4 Pm 0.3333 0.6667 0.5387
Nd1 Nd 0.0000 0.0000 0.6525
Nd2 Nd 0.0000 0.0000 0.8660
Er1 Er 0.0000 0.0000 0.4318
Er2 Er 0.3333 0.6667 0.1044
Er3 Er 0.3333 0.6667 0.7609
```

Principal peaks in the range 5 to 70 degrees two-theta, by angle:
(hkl)  2theta  intensity
1 0 0  28.44  44
0 0 9  29.99  44
0 1 4  31.47  57
1 0 5  33.07  100
1 0 9  41.80  27
1 1 0  50.36  35
0 1 14  56.26  32
1 1 9  59.73  37